Structure and theoretical powder XRD pattern of PmDyH4 (a structure optimized by DFT (PBE); λ = 1.5418 Å (Cu Kα)).

Top 12 peaks for 2θ from 15° to 90°, in order of rising 2θ:
29.2 deg, rel. 100, (1 1 2)
33.7 deg, rel. 16, (0 0 4)
33.9 deg, rel. 33, (2 0 0)
48.6 deg, rel. 25, (2 0 4)
48.7 deg, rel. 13, (2 2 0)
57.6 deg, rel. 15, (1 1 6)
57.8 deg, rel. 29, (3 1 2)
60.6 deg, rel. 13, (2 2 4)
78.7 deg, rel. 12, (3 1 6)
78.9 deg, rel. 6, (3 3 2)
81.0 deg, rel. 6, (2 0 8)
81.3 deg, rel. 11, (4 2 0)

Atomic structure:
```
data_PmDyH4
_cell_length_a 5.290
_cell_length_b 5.290
_cell_length_c 10.624
_cell_angle_alpha 90.00
_cell_angle_beta 90.00
_cell_angle_gamma 90.00
_space_group_name_H-M_alt 'I 41/a m d'
_space_group_IT_number 141
loop_
_space_group_symop_operation_xyz
'x,y,z'
'-x,-y,-z'
'-y+1/4,x+3/4,z+1/4'
'y+1/4,-x+3/4,-z+1/4'
'-x+1/2,-y,z+1/2'
'x+1/2,y,-z+1/2'
'y+1/4,-x+1/4,z+3/4'
'-y+1/4,x+1/4,-z+3/4'
'x,-y,-z'
'-x,y,z'
'-y+1/4,-x+1/4,-z+3/4'
'y+1/4,x+1/4,z+3/4'
'-x+1/2,y,-z+1/2'
'x+1/2,-y,z+1/2'
'y+1/4,x+3/4,-z+1/4'
'-y+1/4,-x+3/4,z+1/4'
'x+1/2,y+1/2,z+1/2'
'-x+1/2,-y+1/2,-z+1/2'
'-y+3/4,x+1/4,z+3/4'
'y+3/4,-x+1/4,-z+3/4'
'-x,-y+1/2,z'
'x,y+1/2,-z'
'y+3/4,-x+3/4,z+1/4'
'-y+3/4,x+3/4,-z+1/4'
'x+1/2,-y+1/2,-z+1/2'
'-x+1/2,y+1/2,z+1/2'
'-y+3/4,-x+3/4,-z+1/4'
'y+3/4,x+3/4,z+1/4'
'-x,y+1/2,-z'
'x,-y+1/2,z'
'y+3/4,x+1/4,-z+3/4'
'-y+3/4,-x+1/4,z+3/4'
loop_
_atom_site_label
_atom_site_type_symbol
_atom_site_fract_x
_atom_site_fract_y
_atom_site_fract_z
_atom_site_occupancy
Pm1 Pm 0.000 0.250 0.375 1
Dy1 Dy 0.000 0.250 0.875 1
H1 H 0.239 0.000 0.000 1
```